For Na3MnO4, a structure optimized by DFT (GGA+U) gives the computed powder diffractogram in this record (Cu Kα X-rays).
Intensities are scaled so that the largest is 100.

Main lines, by angle (2θ from 10° to 80°):
(2 1 0), 2θ = 19.1°, d 4.649, rel. 76.5
(0 1 1), 2θ = 20.0°, d 4.434, rel. 60.5
(2 0 1), 2θ = 21.4°, d 4.158, rel. 52.1
(2 2 0), 2θ = 28.9°, d 3.087, rel. 100.0
(4 0 0), 2θ = 29.2°, d 3.060, rel. 53.4
(3 1 1), 2θ = 29.8°, d 3.002, rel. 34.7
(0 0 2), 2θ = 31.7°, d 2.827, rel. 94.9
(2 2 1), 2θ = 33.1°, d 2.709, rel. 67.3
(2 2 2), 2θ = 43.4°, d 2.085, rel. 33.6
(0 4 0), 2θ = 51.1°, d 1.787, rel. 29.4
(6 2 0), 2θ = 51.6°, d 1.772, rel. 54.8
(6 2 2), 2θ = 61.8°, d 1.501, rel. 33.3

Structure:
a b c (Å): 12.240 7.150 5.653
angles (deg): 90.00 90.00 90.00
Space group Pnma (No. 62)
Symmetry-distinct sites (fractional):
Na (0.074, 0.250, 0.212)
Na (0.163, 0.501, 0.797)
Mn (0.089, 0.750, 0.306)
O (0.045, 0.250, 0.793)
O (0.091, 0.750, 0.610)
O (0.156, 0.552, 0.208)

For NaCoO2, a structure optimized by DFT (GGA+U) gives the computed powder diffractogram in this record (Cu Kα X-rays).
Intensities are scaled so that the largest is 100.

Main lines, by angle (2θ from 10° to 80°):
(0 0 1), 2θ = 13.7°, d 6.482, rel. 100.0
(0 1 1), 2θ = 24.0°, d 3.704, rel. 51.7
(0 1 2), 2θ = 34.1°, d 2.632, rel. 62.4
(1 1 0), 2θ = 36.2°, d 2.484, rel. 45.9
(1 0 -2), 2θ = 39.9°, d 2.262, rel. 80.1
(0 2 0), 2θ = 40.0°, d 2.257, rel. 82.0
(1 0 2), 2θ = 42.5°, d 2.128, rel. 67.6
(0 0 4), 2θ = 56.8°, d 1.620, rel. 18.7
(1 2 -2), 2θ = 57.7°, d 1.598, rel. 46.5
(1 2 2), 2θ = 59.7°, d 1.548, rel. 36.3
(2 0 0), 2θ = 62.4°, d 1.488, rel. 17.1
(0 2 4), 2θ = 71.7°, d 1.316, rel. 16.8

Structure:
a b c (Å): 2.981 4.513 6.494
angles (deg): 90.00 93.51 90.00
Space group P2_1/m (No. 11)
Symmetry-distinct sites (fractional):
Na (0.242, 0.250, 0.123)
Co (0.258, 0.250, 0.624)
O (0.221, 0.750, 0.585)
O (0.294, 0.750, 0.174)